Record 1
Calculated powder XRD pattern of NiPd4S4 for Cu Kα, 1.54184 Å, from the PBE geometry in Alexandria.

Cell and atoms:
abc: 6.4120 6.4120 6.4120
angles: 129.49 129.49 74.22
Positions (direct):
Ni 0.0000 0.0000 0.0000
Pd 0.0000 0.5000 0.5000
Pd 0.3559 0.3559 0.0000
Pd 0.5000 0.0000 0.5000
Pd 0.6441 0.6441 0.0000
S 0.0522 0.0522 0.4009
S 0.3487 0.9478 0.0000
S 0.6513 0.6513 0.5991
S 0.9478 0.3487 0.0000

Main lines, in order of falling intensity (15° ≤ 2θ ≤ 90°):
2θ (°)	Rel. int.
28.94	100.0
32.74	97.2
45.64	85.2
42.38	79.8
46.97	77.0
30.91	74.7
37.28	60.6
17.34	55.7
65.10	35.1
74.15	32.6
57.29	31.3
56.12	22.8

=====

Record 2
Calculated powder XRD pattern of NiSb3Pd3 for Cu Kα, 1.54184 Å, from the PBE geometry in Alexandria.

Cell and atoms:
abc: 8.6745 8.6745 11.0353
angles: 90.00 90.00 40.36
Positions (direct):
Ni 0.0794 0.0794 0.0000
Ni 0.4206 0.4206 0.5000
Ni 0.5794 0.5794 0.5000
Ni 0.9206 0.9206 0.0000
Sb 0.0166 0.6286 0.1386
Sb 0.1286 0.5166 0.6386
Sb 0.2105 0.7895 0.8390
Sb 0.2895 0.7105 0.3390
Sb 0.3714 0.9834 0.1386
Sb 0.4834 0.8714 0.6386
Sb 0.5166 0.1286 0.3614
Sb 0.6286 0.0166 0.8614
Sb 0.7105 0.2895 0.6610
Sb 0.7895 0.2105 0.1610
Sb 0.8714 0.4834 0.3614
Sb 0.9834 0.3714 0.8614
Pd 0.0203 0.2920 0.6092
Pd 0.1445 0.8555 0.5996
Pd 0.2080 0.4797 0.8908
Pd 0.2920 0.0203 0.3908
Pd 0.3555 0.6445 0.0996
Pd 0.4797 0.2080 0.1092
Pd 0.5203 0.7920 0.8908
Pd 0.6445 0.3555 0.9004
Pd 0.7080 0.9797 0.6092
Pd 0.7920 0.5203 0.1092
Pd 0.8555 0.1445 0.4004
Pd 0.9797 0.7080 0.3908

Main lines, in order of falling intensity (15° ≤ 2θ ≤ 90°):
2θ (°)	Rel. int.
33.00	100.0
32.45	83.4
46.96	82.2
32.90	65.0
39.62	54.7
51.53	43.7
38.21	43.6
44.94	43.5
45.10	37.3
40.40	34.1
44.68	30.8
29.86	29.9

=====

Record 3
Calculated powder XRD pattern of NiSbPd for Cu Kα, 1.54184 Å, from the PBE geometry in Alexandria.

Cell and atoms:
abc: 8.7736 4.3593 5.2450
angles: 90.00 99.60 90.00
Positions (direct):
Ni 0.2230 0.0000 0.3240
Ni 0.2770 0.5000 0.6760
Ni 0.7230 0.5000 0.3240
Ni 0.7770 0.0000 0.6760
Sb 0.1411 0.0000 0.7943
Sb 0.3589 0.5000 0.2057
Sb 0.6411 0.5000 0.7943
Sb 0.8589 0.0000 0.2057
Pd 0.0411 0.5000 0.2622
Pd 0.4589 0.0000 0.7378
Pd 0.5411 0.0000 0.2622
Pd 0.9589 0.5000 0.7378

Main lines, in order of falling intensity (15° ≤ 2θ ≤ 90°):
2θ (°)	Rel. int.
37.40	100.0
34.69	70.0
41.43	59.5
39.05	58.5
47.94	40.7
55.11	36.0
43.66	36.0
29.74	24.0
79.22	23.0
43.44	19.8
64.09	14.9
55.70	14.4

=====

Record 4
Calculated powder XRD pattern of NiSb2Pd for Cu Kα, 1.54184 Å, from the PBE geometry in Alexandria.

Cell and atoms:
abc: 6.5060 6.5060 8.8548
angles: 90.00 90.00 90.00
Positions (direct):
Ni 0.0000 0.0000 0.0000
Ni 0.0000 0.5000 0.2500
Ni 0.5000 0.0000 0.7500
Ni 0.5000 0.5000 0.5000
Sb 0.2304 0.7500 0.1250
Sb 0.2500 0.2304 0.8750
Sb 0.2500 0.2696 0.3750
Sb 0.2696 0.7500 0.6250
Sb 0.7304 0.2500 0.6250
Sb 0.7500 0.7304 0.3750
Sb 0.7500 0.7696 0.8750
Sb 0.7696 0.2500 0.1250
Pd 0.0000 0.0000 0.5000
Pd 0.0000 0.5000 0.7500
Pd 0.5000 0.0000 0.2500
Pd 0.5000 0.5000 0.0000

Main lines, in order of falling intensity (15° ≤ 2θ ≤ 90°):
2θ (°)	Rel. int.
27.97	100.0
48.81	40.5
49.83	38.2
39.16	38.2
78.71	17.9
56.58	12.2
80.01	9.2
77.92	9.1
64.28	8.3
66.54	8.1
32.39	4.5
84.18	3.6

=====

Record 5
Calculated powder XRD pattern of ZnNi7Sb2Pd2 for Cu Kα, 1.54184 Å, from the PBE geometry in Alexandria.

Cell and atoms:
abc: 3.4510 3.4510 14.5144
angles: 96.72 96.72 89.99
Positions (direct):
Zn 0.0000 0.0000 0.0000
Ni 0.0636 0.5636 0.1299
Ni 0.2704 0.2704 0.5403
Ni 0.4364 0.9364 0.8701
Ni 0.5000 0.5000 0.0000
Ni 0.5636 0.0636 0.1299
Ni 0.7296 0.7296 0.4597
Ni 0.9364 0.4364 0.8701
Sb 0.1810 0.1810 0.3659
Sb 0.8190 0.8190 0.6341
Pd 0.3675 0.3675 0.7308
Pd 0.6325 0.6325 0.2692

Main lines, in order of falling intensity (15° ≤ 2θ ≤ 90°):
2θ (°)	Rel. int.
43.56	100.0
41.57	87.8
53.07	75.7
37.38	56.1
36.83	50.0
30.24	44.3
38.49	39.4
44.94	34.5
78.37	22.7
70.94	22.4
71.07	22.3
51.04	19.9

=====

Record 6
Calculated powder XRD pattern of ScNiPd4 for Cu Kα, 1.54184 Å, from the PBE geometry in Alexandria.

Cell and atoms:
abc: 10.1872 10.1872 4.5283
angles: 90.00 90.00 154.68
Positions (direct):
Sc 0.0942 0.9058 0.5000
Sc 0.9058 0.0942 0.0000
Ni 0.3991 0.6009 0.4150
Ni 0.6009 0.3991 0.9150
Pd 0.1675 0.8325 0.9689
Pd 0.2545 0.7455 0.4344
Pd 0.3307 0.6693 0.9192
Pd 0.4705 0.5295 0.8881
Pd 0.5295 0.4705 0.3881
Pd 0.6693 0.3307 0.4192
Pd 0.7455 0.2545 0.9344
Pd 0.8325 0.1675 0.4689

Main lines, in order of falling intensity (15° ≤ 2θ ≤ 90°):
2θ (°)	Rel. int.
42.69	100.0
40.40	35.3
39.81	30.9
36.17	29.6
20.38	21.7
58.02	19.8
75.04	17.8
74.26	13.9
45.13	11.0
41.45	7.7
87.32	7.2
69.91	5.5

=====

Record 7
Calculated powder XRD pattern of Sc4ZnNi2Pd for Cu Kα, 1.54184 Å, from the PBE geometry in Alexandria.

Cell and atoms:
abc: 7.9905 7.9905 7.9905
angles: 33.43 33.43 33.43
Positions (direct):
Sc 0.1242 0.1242 0.1242
Sc 0.3744 0.3744 0.3744
Sc 0.6256 0.6256 0.6256
Sc 0.8758 0.8758 0.8758
Zn 0.5000 0.5000 0.5000
Ni 0.2477 0.2477 0.2477
Ni 0.7523 0.7523 0.7523
Pd 0.0000 0.0000 0.0000

Main lines, in order of falling intensity (15° ≤ 2θ ≤ 90°):
2θ (°)	Rel. int.
39.09	100.0
39.20	99.6
70.99	45.8
56.55	31.7
27.40	18.3
70.74	15.2
84.26	9.4
83.98	9.3
23.67	5.1
48.49	4.2
64.04	3.6
63.88	3.5

=====

Record 8
Calculated powder XRD pattern of NiPdSe2 for Cu Kα, 1.54184 Å, from the PBE geometry in Alexandria.

Cell and atoms:
abc: 4.9493 5.5442 6.2789
angles: 87.36 72.03 85.82
Positions (direct):
Ni 0.2250 0.0759 0.0316
Ni 0.7750 0.9241 0.9684
Pd 0.0000 0.0000 0.5000
Pd 0.5000 0.5000 0.0000
Se 0.0169 0.7124 0.1965
Se 0.4709 0.1618 0.2784
Se 0.5291 0.8382 0.7216
Se 0.9831 0.2876 0.8035

Main lines, in order of falling intensity (15° ≤ 2θ ≤ 90°):
2θ (°)	Rel. int.
16.03	100.0
32.42	97.8
43.62	85.0
20.15	76.7
38.31	65.3
45.26	63.9
26.82	62.6
42.35	61.2
43.95	60.5
24.86	59.6
33.38	56.3
54.61	55.7